No. 1
This entry pairs a crystal structure of NiPb2N6O12 with its simulated powder X-ray diffraction pattern. Radiation: a wavelength of 1.5418 Å. Structure: a crystal structure in the Materials Project, relaxed with PBE+U.
No peak broadening, texture or thermal motion is included.

Cell: 10.018 10.018 10.018 Å, 90.00 90.00 90.00°
Space group Fm-3m (No. 225)
Unique sites:
Ni 0.000 0.000 0.000 (multiplicity 4)
Pb 0.250 0.250 0.250 (multiplicity 8)
N 0.000 0.000 0.203 (multiplicity 24)
O 0.000 0.185 0.185 (multiplicity 48)

Main lines, sorted by position (2θ from 10° to 90°):
2θ (°)  d_spacing  I_rel
15.32  5.784  24.3
17.71  5.009  81.4
25.14  3.542  100.0
30.92  2.892  26.4
35.86  2.504  47.9
40.26  2.240  55.4
44.30  2.045  68.2
51.61  1.771  24.8
58.25  1.584  28.1
70.32  1.339  30.5

No. 2
This entry pairs a crystal structure of LiMn3O2F6 with its simulated powder X-ray diffraction pattern. Radiation: a wavelength of 1.5418 Å. Structure: a crystal structure in the Materials Project, relaxed with PBE+U.
No peak broadening, texture or thermal motion is included.

Cell: 5.286 5.402 6.143 Å, 69.17 88.07 78.96°
Space group P1 (No. 1)
Unique sites:
Li 0.000 0.000 0.000 (multiplicity 1)
Mn 0.217 0.529 0.862 (multiplicity 1)
Mn 0.704 0.548 0.599 (multiplicity 1)
Mn 0.716 0.527 0.100 (multiplicity 1)
O 0.583 0.358 0.899 (multiplicity 1)
O 0.877 0.731 0.834 (multiplicity 1)
F 0.045 0.323 0.684 (multiplicity 1)
F 0.083 0.253 0.133 (multiplicity 1)
F 0.324 0.758 0.024 (multiplicity 1)
F 0.363 0.755 0.550 (multiplicity 1)
F 0.614 0.319 0.397 (multiplicity 1)
F 0.813 0.742 0.281 (multiplicity 1)

Main lines, sorted by position (2θ from 10° to 90°):
2θ (°)  d_spacing  I_rel
15.44  5.737  16.7
17.90  4.955  100.0
23.55  3.777  10.4
33.46  2.678  12.6
34.60  2.593  11.2
35.18  2.551  11.0
39.98  2.255  28.1
42.34  2.135  25.6
43.35  2.087  24.4
60.43  1.532  12.7

Copy entry 2 word for word.
This entry pairs a crystal structure of LiMn3O2F6 with its simulated powder X-ray diffraction pattern. Radiation: a wavelength of 1.5418 Å. Structure: a crystal structure in the Materials Project, relaxed with PBE+U.
No peak broadening, texture or thermal motion is included.

Cell: 5.286 5.402 6.143 Å, 69.17 88.07 78.96°
Space group P1 (No. 1)
Unique sites:
Li 0.000 0.000 0.000 (multiplicity 1)
Mn 0.217 0.529 0.862 (multiplicity 1)
Mn 0.704 0.548 0.599 (multiplicity 1)
Mn 0.716 0.527 0.100 (multiplicity 1)
O 0.583 0.358 0.899 (multiplicity 1)
O 0.877 0.731 0.834 (multiplicity 1)
F 0.045 0.323 0.684 (multiplicity 1)
F 0.083 0.253 0.133 (multiplicity 1)
F 0.324 0.758 0.024 (multiplicity 1)
F 0.363 0.755 0.550 (multiplicity 1)
F 0.614 0.319 0.397 (multiplicity 1)
F 0.813 0.742 0.281 (multiplicity 1)

Main lines, sorted by position (2θ from 10° to 90°):
2θ (°)  d_spacing  I_rel
15.44  5.737  16.7
17.90  4.955  100.0
23.55  3.777  10.4
33.46  2.678  12.6
34.60  2.593  11.2
35.18  2.551  11.0
39.98  2.255  28.1
42.34  2.135  25.6
43.35  2.087  24.4
60.43  1.532  12.7